(1)
The following is a theoretical XRD peak list of Tb5PrSc2. It was derived from a cell relaxed with GGA-PBE, using CuKα.

Atomic structure:
```
data_Tb5PrSc2
_symmetry_space_group_name_H-M 'P b a m'
_symmetry_Int_Tables_number 55
_cell_length_a 7.0164
_cell_length_b 14.0400
_cell_length_c 4.9343
_cell_angle_alpha 90.00
_cell_angle_beta 90.00
_cell_angle_gamma 90.00
loop_
_symmetry_equiv_pos_as_xyz
'x,y,z'
'-x,-y,-z'
'-x,-y,z'
'x,y,-z'
'x+1/2,-y+1/2,-z'
'-x+1/2,y+1/2,z'
'-x+1/2,y+1/2,-z'
'x+1/2,-y+1/2,z'
loop_
_atom_site_label
_atom_site_type_symbol
_atom_site_fract_x
_atom_site_fract_y
_atom_site_fract_z
_atom_site_occupancy
Tb1 Tb 0.0000 0.0000 0.0000 1
Tb2 Tb 0.0030 0.2488 0.0000 1
Tb3 Tb 0.2466 0.8736 0.5000 1
Pr1 Pr 0.0000 0.5000 0.0000 1
Sc1 Sc 0.2488 0.6261 0.5000 1
```

The 6 most intense peaks (2θ from 5° to 70°), by intensity:
d (Å)	2θ (°)	I (rel.)	(hkl)
2.860	31.3	1000	2 0 1
2.481	36.2	337	2 4 0
1.496	62.1	278	4 4 1
1.750	52.3	234	2 4 2
2.467	36.4	166	0 0 2
1.489	62.3	137	2 0 3

=====

(2)
The following is a theoretical XRD peak list of Ac3TbTl2. It was derived from a cell relaxed with GGA-PBE, using CuKα.

Atomic structure:
```
data_Ac3TbTl2
_symmetry_space_group_name_H-M 'I b a m'
_symmetry_Int_Tables_number 72
_symmetry_space_group_name_Hall '-I 2 2c'
_cell_length_a 7.1171
_cell_length_b 17.5806
_cell_length_c 7.1168
_cell_angle_alpha 90.00
_cell_angle_beta 90.00
_cell_angle_gamma 90.00
loop_
_atom_site_label
_atom_site_type_symbol
_atom_site_fract_x
_atom_site_fract_y
_atom_site_fract_z
_atom_site_occupancy
Ac1 Ac 0.0000 0.0000 0.2500 1
Ac2 Ac 0.2488 0.3222 0.0000 1
Tb1 Tb 0.0000 0.5000 0.2500 1
Tl1 Tl 0.2324 0.3702 0.5000 1
```

The 6 most intense peaks (2θ from 5° to 70°), by intensity:
d (Å)	2θ (°)	I (rel.)	(hkl)
3.301	27.0	1000	2 2 0
2.766	32.4	810	0 4 2
2.516	35.7	596	2 0 2
2.532	35.5	270	1 6 1
1.909	47.6	266	2 6 2
1.496	62.0	248	2 4 4

=====

(3)
The following is a theoretical XRD peak list of Pu3Pa2Ge3. It was derived from a cell relaxed with GGA-PBE, using CuKα.

Atomic structure:
```
data_Pu3Pa2Ge3
_symmetry_space_group_name_H-M 'C m c m'
_symmetry_Int_Tables_number 63
_symmetry_space_group_name_Hall '-C 2c 2'
_cell_length_a 4.0654
_cell_length_b 10.3297
_cell_length_c 16.9932
_cell_angle_alpha 90.00
_cell_angle_beta 90.00
_cell_angle_gamma 90.00
loop_
_atom_site_label
_atom_site_type_symbol
_atom_site_fract_x
_atom_site_fract_y
_atom_site_fract_z
_atom_site_occupancy
Pu1 Pu 0.0000 0.0106 0.2500 1
Pu2 Pu 0.0000 0.1354 0.0448 1
Pa1 Pa 0.0000 0.2917 0.6399 1
Ge1 Ge 0.0000 0.3064 0.2500 1
Ge2 Ge 0.0000 0.4256 0.0953 1
```

The 6 most intense peaks (2θ from 5° to 70°), by intensity:
d (Å)	2θ (°)	I (rel.)	(hkl)
2.528	35.5	1000	1 1 5
2.510	35.8	639	1 3 2
2.825	31.7	549	1 1 4
2.033	44.6	347	2 0 0
2.471	36.4	293	0 4 2
2.384	37.7	270	1 3 3

=====

(4)
The following is a theoretical XRD peak list of PmScGaPt. It was derived from a cell relaxed with GGA-PBE, using CuKα.

Atomic structure:
```
data_PmScGaPt
_symmetry_space_group_name_H-M 'A m m 2'
_symmetry_Int_Tables_number 38
_cell_length_a 4.3346
_cell_length_b 3.6683
_cell_length_c 11.0818
_cell_angle_alpha 90.00
_cell_angle_beta 90.00
_cell_angle_gamma 90.00
loop_
_symmetry_equiv_pos_as_xyz
'x,y,z'
'-x,-y,z'
'-x,y,z'
'x,-y,z'
'x,y+1/2,z+1/2'
'-x,-y+1/2,z+1/2'
'-x,y+1/2,z+1/2'
'x,-y+1/2,z+1/2'
loop_
_atom_site_label
_atom_site_type_symbol
_atom_site_fract_x
_atom_site_fract_y
_atom_site_fract_z
_atom_site_occupancy
Pm1 Pm 0.0000 0.0000 0.0000 1
Sc1 Sc 0.5000 0.0000 0.7125 1
Ga1 Ga 0.5000 0.0000 0.4140 1
Pt1 Pt 0.0000 0.0000 0.2672 1
```

The 6 most intense peaks (2θ from 5° to 70°), by intensity:
d (Å)	2θ (°)	I (rel.)	(hkl)
2.715	33.0	1000	1 1 1
2.231	40.4	837	1 1 3
2.334	38.6	602	1 0 4
4.335	20.5	491	1 0 0
3.483	25.6	442	0 1 1
2.603	34.5	360	0 1 3

=====

(5)
The following is a theoretical XRD peak list of Rb2InAgAs2. It was derived from a cell relaxed with GGA-PBE, using CuKα.

Atomic structure:
```
data_Rb2InAgAs2
_symmetry_space_group_name_H-M 'I b a m'
_symmetry_Int_Tables_number 72
_symmetry_space_group_name_Hall '-I 2 2c'
_cell_length_a 6.5537
_cell_length_b 16.5858
_cell_length_c 6.6608
_cell_angle_alpha 90.00
_cell_angle_beta 90.00
_cell_angle_gamma 90.00
loop_
_atom_site_label
_atom_site_type_symbol
_atom_site_fract_x
_atom_site_fract_y
_atom_site_fract_z
_atom_site_occupancy
Rb1 Rb 0.2301 0.1720 0.0000 1
In1 In 0.0000 0.5000 0.2500 1
Ag1 Ag 0.0000 0.0000 0.2500 1
As1 As 0.2335 0.4040 0.0000 1
```

The 6 most intense peaks (2θ from 5° to 70°), by intensity:
d (Å)	2θ (°)	I (rel.)	(hkl)
8.293	10.7	1000	0 2 0
3.101	28.8	781	1 4 1
2.336	38.5	776	2 0 2
2.597	34.5	597	0 4 2
2.571	34.9	563	2 4 0
3.090	28.9	414	0 2 2

=====

(6)
The following is a theoretical XRD peak list of SrCeMg2Au4. It was derived from a cell relaxed with GGA-PBE, using CuKα.

Atomic structure:
```
data_SrCeMg2Au4
_symmetry_space_group_name_H-M 'R -3 m'
_symmetry_Int_Tables_number 166
_symmetry_space_group_name_Hall '-R 3 2"'
_cell_length_a 4.7462
_cell_length_b 4.7462
_cell_length_c 29.3238
_cell_angle_alpha 90.00
_cell_angle_beta 90.00
_cell_angle_gamma 120.00
loop_
_atom_site_label
_atom_site_type_symbol
_atom_site_fract_x
_atom_site_fract_y
_atom_site_fract_z
_atom_site_occupancy
Sr1 Sr 0.0000 0.0000 0.0000 1
Ce1 Ce 0.0000 0.0000 0.5000 1
Mg1 Mg 0.0000 0.0000 0.2453 1
Au1 Au 0.0000 0.0000 0.1136 1
Au2 Au 0.0000 0.0000 0.3964 1
```

The 6 most intense peaks (2θ from 5° to 70°), by intensity:
d (Å)	2θ (°)	I (rel.)	(hkl)
2.373	37.9	1000	1 1 0
2.736	32.7	825	0 1 8
2.387	37.7	601	1 0 10
3.585	24.8	490	1 0 4
3.958	22.5	375	0 1 2
1.793	50.9	239	2 0 8

=====

(7)
The following is a theoretical XRD peak list of Ba2ZnMoN4. It was derived from a cell relaxed with GGA-PBE, using CuKα.

Atomic structure:
```
data_Ba2ZnMoN4
_symmetry_space_group_name_H-M 'P m m n'
_symmetry_Int_Tables_number 59
_cell_length_a 6.0530
_cell_length_b 7.2063
_cell_length_c 6.5840
_cell_angle_alpha 90.00
_cell_angle_beta 90.00
_cell_angle_gamma 90.00
loop_
_symmetry_equiv_pos_as_xyz
'x,y,z'
'-x,-y,-z'
'-x+1/2,-y+1/2,z'
'x+1/2,y+1/2,-z'
'x+1/2,-y,-z'
'-x+1/2,y,z'
'-x,y+1/2,-z'
'x,-y+1/2,z'
loop_
_atom_site_label
_atom_site_type_symbol
_atom_site_fract_x
_atom_site_fract_y
_atom_site_fract_z
_atom_site_occupancy
Ba1 Ba 0.2500 0.0013 0.2452 1
Zn1 Zn 0.2500 0.7500 0.6946 1
Mo1 Mo 0.2500 0.2500 0.6843 1
N1 N 0.0049 0.2500 0.5133 1
N2 N 0.2500 0.0218 0.8324 1
```

The 6 most intense peaks (2θ from 5° to 70°), by intensity:
d (Å)	2θ (°)	I (rel.)	(hkl)
2.802	31.9	1000	1 2 1
3.027	29.5	367	2 0 0
3.292	27.1	334	0 0 2
2.228	40.5	293	2 0 2
1.701	53.9	225	3 2 1
1.790	51.0	180	1 2 3

=====

(8)
The following is a theoretical XRD peak list of NpH8PtRh4. It was derived from a cell relaxed with GGA-PBE, using CuKα.

Atomic structure:
```
data_NpH8PtRh4
_symmetry_space_group_name_H-M 'R 3 m'
_symmetry_Int_Tables_number 160
_symmetry_space_group_name_Hall 'R 3 -2"'
_cell_length_a 5.6738
_cell_length_b 5.6738
_cell_length_c 13.8411
_cell_angle_alpha 90.00
_cell_angle_beta 90.00
_cell_angle_gamma 120.00
loop_
_atom_site_label
_atom_site_type_symbol
_atom_site_fract_x
_atom_site_fract_y
_atom_site_fract_z
_atom_site_occupancy
Np1 Np 0.0000 0.0000 0.0000 1
H1 H 0.0000 0.0000 0.3834 1
H2 H 0.0000 0.0000 0.8405 1
H3 H 0.0698 0.5349 0.8278 1
H4 H 0.0938 0.5469 0.3815 1
Pt1 Pt 0.0000 0.0000 0.6157 1
Rh1 Rh 0.0000 0.0000 0.2470 1
Rh2 Rh 0.0055 0.5028 0.1237 1
```

The 6 most intense peaks (2θ from 5° to 70°), by intensity:
d (Å)	2θ (°)	I (rel.)	(hkl)
2.417	37.2	1000	1 1 3
2.835	31.6	543	1 1 0
2.412	37.3	435	0 1 5
1.543	60.0	430	1 2 5
2.315	38.9	348	2 0 2
1.418	65.8	193	2 2 0

=====

Copy entry 4 word for word.
The following is a theoretical XRD peak list of PmScGaPt. It was derived from a cell relaxed with GGA-PBE, using CuKα.

Atomic structure:
```
data_PmScGaPt
_symmetry_space_group_name_H-M 'A m m 2'
_symmetry_Int_Tables_number 38
_cell_length_a 4.3346
_cell_length_b 3.6683
_cell_length_c 11.0818
_cell_angle_alpha 90.00
_cell_angle_beta 90.00
_cell_angle_gamma 90.00
loop_
_symmetry_equiv_pos_as_xyz
'x,y,z'
'-x,-y,z'
'-x,y,z'
'x,-y,z'
'x,y+1/2,z+1/2'
'-x,-y+1/2,z+1/2'
'-x,y+1/2,z+1/2'
'x,-y+1/2,z+1/2'
loop_
_atom_site_label
_atom_site_type_symbol
_atom_site_fract_x
_atom_site_fract_y
_atom_site_fract_z
_atom_site_occupancy
Pm1 Pm 0.0000 0.0000 0.0000 1
Sc1 Sc 0.5000 0.0000 0.7125 1
Ga1 Ga 0.5000 0.0000 0.4140 1
Pt1 Pt 0.0000 0.0000 0.2672 1
```

The 6 most intense peaks (2θ from 5° to 70°), by intensity:
d (Å)	2θ (°)	I (rel.)	(hkl)
2.715	33.0	1000	1 1 1
2.231	40.4	837	1 1 3
2.334	38.6	602	1 0 4
4.335	20.5	491	1 0 0
3.483	25.6	442	0 1 1
2.603	34.5	360	0 1 3